This entry pairs a crystal structure of NbCl3O with its computed powder diffractogram. Radiation: CuKα. Structure: DFT lattice parameters and positions (GGA-PBE).

Structure:
```
data_NbCl3O
_chemical_formula_sum 'Nb4 Cl12 O4'
_cell_length_a 5.7996
_cell_length_b 8.1221
_cell_length_c 14.9861
_cell_angle_alpha 90.00
_cell_angle_beta 101.70
_cell_angle_gamma 90.00
_symmetry_space_group_name_H-M 'P 1 2/c 1'
_symmetry_Int_Tables_number 13
_symmetry_space_group_name_Hall '-P 2yc'
loop_
_atom_site_label
_atom_site_type_symbol
_atom_site_fract_x
_atom_site_fract_y
_atom_site_fract_z
Nb1 Nb 0.1449 0.2456 0.3496
Cl1 Cl 0.1118 0.2483 0.5006
Cl2 Cl 0.3276 0.0070 0.8554
Cl3 Cl 0.3302 0.4976 0.3545
O1 O 0.1647 0.2455 0.2052
```

Peak list (8 most intense, 2θ from 5° to 70°, by angle)
d (Å)	intensity	index
7.106	100	0 1 1
5.679	13	1 0 0
5.010	35	1 0 -2
4.666	63	1 1 -1
4.106	31	1 0 2
3.669	11	0 0 4
3.303	31	1 2 0
2.446	22	0 0 6

***

This entry pairs a crystal structure of Nb3Cl7O with its computed powder diffractogram. Radiation: CuKα. Structure: DFT lattice parameters and positions (GGA-PBE).

Structure:
```
data_Nb3Cl7O
_chemical_formula_sum 'Nb3 Cl7 O1'
_cell_length_a 6.7783
_cell_length_b 6.7783
_cell_length_c 6.5739
_cell_angle_alpha 90.00
_cell_angle_beta 90.00
_cell_angle_gamma 120.00
_symmetry_space_group_name_H-M 'P 3 m 1'
_symmetry_Int_Tables_number 156
_symmetry_space_group_name_Hall 'P 3 -2"'
loop_
_atom_site_label
_atom_site_type_symbol
_atom_site_fract_x
_atom_site_fract_y
_atom_site_fract_z
Nb1 Nb 0.0630 0.5315 0.0000
Cl1 Cl 0.1648 0.3296 0.7556
Cl2 Cl 0.3295 0.1648 0.2108
Cl3 Cl 0.6667 0.3333 0.8026
O1 O 0.3333 0.6667 0.2068
```

Peak list (8 most intense, 2θ from 5° to 70°, by angle)
d (Å)	intensity	index
6.574	100	0 0 1
5.870	22	1 0 0
4.379	30	0 1 1
2.868	14	1 0 2
2.680	57	2 0 1
2.189	44	2 0 2
2.102	15	1 2 1
1.756	19	0 2 3

***

This entry pairs a crystal structure of Nb2Cl3O2 with its computed powder diffractogram. Radiation: CuKα. Structure: DFT lattice parameters and positions (GGA-PBE).

Structure:
```
data_Nb2Cl3O2
_chemical_formula_sum 'Nb2 Cl3 O2'
_cell_length_a 3.1048
_cell_length_b 3.0615
_cell_length_c 13.4030
_cell_angle_alpha 90.00
_cell_angle_beta 96.72
_cell_angle_gamma 90.00
_symmetry_space_group_name_H-M 'P 1 2/m 1'
_symmetry_Int_Tables_number 10
_symmetry_space_group_name_Hall '-P 2y'
loop_
_atom_site_label
_atom_site_type_symbol
_atom_site_fract_x
_atom_site_fract_y
_atom_site_fract_z
Nb1 Nb 0.0957 0.0000 0.1888
Cl1 Cl 0.0000 0.0000 0.0000
Cl2 Cl 0.1827 0.0000 0.3611
O1 O 0.4067 0.5000 0.8158
```

Peak list (8 most intense, 2θ from 5° to 70°, by angle)
d (Å)	intensity	index
13.311	100	0 0 1
6.655	76	0 0 2
3.084	49	1 0 -1
3.061	43	0 1 0
2.662	30	0 0 5
2.173	57	1 1 -1
1.909	20	1 0 -6
1.620	34	1 1 -6

***

This entry pairs a crystal structure of NbPCl8O with its computed powder diffractogram. Radiation: CuKα. Structure: DFT lattice parameters and positions (GGA-PBE).

Structure:
```
data_NbPCl8O
_chemical_formula_sum 'Nb4 P4 Cl32 O4'
_cell_length_a 17.1761
_cell_length_b 8.7753
_cell_length_c 9.5346
_cell_angle_alpha 90.00
_cell_angle_beta 90.00
_cell_angle_gamma 90.00
_symmetry_space_group_name_H-M 'P n m a'
_symmetry_Int_Tables_number 62
_symmetry_space_group_name_Hall '-P 2ac 2n'
loop_
_atom_site_label
_atom_site_type_symbol
_atom_site_fract_x
_atom_site_fract_y
_atom_site_fract_z
Nb1 Nb 0.1520 0.2500 0.0858
P1 P 0.0806 0.2500 0.7257
Cl1 Cl 0.0284 0.2500 0.1909
Cl2 Cl 0.0292 0.7500 0.3385
Cl3 Cl 0.1305 0.0694 0.6384
Cl4 Cl 0.1454 0.5158 0.0591
Cl5 Cl 0.2211 0.2500 0.2912
Cl6 Cl 0.2343 0.7500 0.4414
O1 O 0.0853 0.2500 0.8814
```

Peak list (8 most intense, 2θ from 5° to 70°, by angle)
d (Å)	intensity	index
6.138	100	2 1 0
6.044	48	1 1 1
4.908	20	3 0 1
4.594	24	1 0 2
4.388	25	0 2 0
4.070	38	1 1 2
2.786	30	5 0 2
2.760	22	1 3 1

***

This entry pairs a crystal structure of PmNbClO4 with its computed powder diffractogram. Radiation: CuKα. Structure: DFT lattice parameters and positions (GGA-PBE).

Structure:
```
data_PmNbClO4
_chemical_formula_sum 'Pm4 Nb4 Cl4 O16'
_cell_length_a 11.3347
_cell_length_b 7.3064
_cell_length_c 7.0392
_cell_angle_alpha 90.00
_cell_angle_beta 103.48
_cell_angle_gamma 90.00
_symmetry_space_group_name_H-M 'C 1 2/m 1'
_symmetry_Int_Tables_number 12
_symmetry_space_group_name_Hall '-C 2y'
loop_
_atom_site_label
_atom_site_type_symbol
_atom_site_fract_x
_atom_site_fract_y
_atom_site_fract_z
Pm1 Pm 0.2494 0.0000 0.3820
Nb1 Nb 0.1305 0.0000 0.7728
Cl1 Cl 0.0131 0.5000 0.3217
O1 O 0.0399 0.0000 0.2841
O2 O 0.1915 0.0000 0.0431
O3 O 0.1936 0.1904 0.6469
```

Peak list (8 most intense, 2θ from 5° to 70°, by angle)
d (Å)	intensity	index
6.845	73	0 0 1
5.511	62	2 0 0
3.874	48	2 0 1
3.653	100	0 2 0
3.282	29	3 1 0
3.232	55	3 1 -1
3.163	63	1 1 -2
2.661	56	3 1 -2

***

This entry pairs a crystal structure of Pr3NbCl3O6 with its computed powder diffractogram. Radiation: CuKα. Structure: DFT lattice parameters and positions (GGA-PBE).

Structure:
```
data_Pr3NbCl3O6
_chemical_formula_sum 'Pr6 Nb2 Cl6 O12'
_cell_length_a 9.5556
_cell_length_b 9.5556
_cell_length_c 5.3526
_cell_angle_alpha 90.00
_cell_angle_beta 90.00
_cell_angle_gamma 120.00
_symmetry_space_group_name_H-M 'P 63/m'
_symmetry_Int_Tables_number 176
_symmetry_space_group_name_Hall '-P 6c'
loop_
_atom_site_label
_atom_site_type_symbol
_atom_site_fract_x
_atom_site_fract_y
_atom_site_fract_z
Pr1 Pr 0.0906 0.4027 0.2500
Nb1 Nb 0.3333 0.6667 0.7500
Cl1 Cl 0.0514 0.2406 0.7500
O1 O 0.1573 0.6364 0.5116
```

Peak list (8 most intense, 2θ from 5° to 70°, by angle)
d (Å)	intensity	index
8.275	38	1 0 0
3.564	83	1 1 1
3.274	49	2 0 1
3.128	52	1 2 0
2.701	100	2 1 1
2.676	32	0 0 2
2.034	57	1 2 2
1.789	39	2 3 1

***

This entry pairs a crystal structure of PuNbClO4 with its computed powder diffractogram. Radiation: CuKα. Structure: DFT lattice parameters and positions (GGA-PBE).

Structure:
```
data_PuNbClO4
_chemical_formula_sum 'Pu4 Nb4 Cl4 O16'
_cell_length_a 10.4589
_cell_length_b 7.4085
_cell_length_c 7.1415
_cell_angle_alpha 90.00
_cell_angle_beta 110.77
_cell_angle_gamma 90.00
_symmetry_space_group_name_H-M 'C 1 2/m 1'
_symmetry_Int_Tables_number 12
_symmetry_space_group_name_Hall '-C 2y'
loop_
_atom_site_label
_atom_site_type_symbol
_atom_site_fract_x
_atom_site_fract_y
_atom_site_fract_z
Pu1 Pu 0.2240 0.0000 0.1647
Nb1 Nb 0.1273 0.5000 0.2360
Cl1 Cl 0.0175 0.0000 0.7767
O1 O 0.0660 0.5000 0.8628
O2 O 0.1755 0.5000 0.5126
O3 O 0.2102 0.2875 0.1814
```

Peak list (8 most intense, 2θ from 5° to 70°, by angle)
d (Å)	intensity	index
6.677	57	0 0 1
4.985	55	1 1 -1
4.890	65	2 0 0
3.704	100	0 2 0
3.410	39	2 0 1
3.216	39	1 1 -2
3.128	84	3 1 -1
2.009	55	3 3 -1

***

This entry pairs a crystal structure of Rb2Nb3Cl7O5 with its computed powder diffractogram. Radiation: CuKα. Structure: DFT lattice parameters and positions (GGA-PBE).

Structure:
```
data_Rb2Nb3Cl7O5
_chemical_formula_sum 'Rb8 Nb12 Cl28 O20'
_cell_length_a 17.3245
_cell_length_b 9.0360
_cell_length_c 11.3203
_cell_angle_alpha 90.00
_cell_angle_beta 110.93
_cell_angle_gamma 90.00
_symmetry_space_group_name_H-M 'C 1 2/c 1'
_symmetry_Int_Tables_number 15
_symmetry_space_group_name_Hall '-C 2yc'
loop_
_atom_site_label
_atom_site_type_symbol
_atom_site_fract_x
_atom_site_fract_y
_atom_site_fract_z
Rb1 Rb 0.2002 0.0405 0.3554
Nb1 Nb 0.0000 0.4651 0.2500
Nb2 Nb 0.0020 0.2119 0.9733
Cl1 Cl 0.0000 0.0890 0.7500
Cl2 Cl 0.1478 0.4294 0.3309
Cl3 Cl 0.1491 0.2099 0.6229
Cl4 Cl 0.1517 0.2102 0.0413
O1 O 0.0000 0.0000 0.0000
O2 O 0.0010 0.2887 0.1207
O3 O 0.0006 0.3965 0.8734
```

Peak list (8 most intense, 2θ from 5° to 70°, by angle)
d (Å)	intensity	index
8.090	96	2 0 0
4.176	51	3 1 -2
4.076	46	1 1 2
3.464	100	2 2 -2
3.435	80	0 2 2
2.828	53	2 0 -4
2.697	62	6 0 0
2.362	36	4 2 2

***

Question: Number 2 is which compound?
Answer: Nb3Cl7O